(1)
For TmCd4, a cell relaxed with GGA-PBE gives the theoretical PXRD pattern in this record (a wavelength of 1.5418 Å).
Intensities are scaled so that the largest is 100.

The 8 most intense peaks (10° ≤ 2θ ≤ 80°), low angle first:
Position (°2θ), Rel. int.
33.69, 100
35.55, 98
36.71, 43
37.22, 45
37.94, 17
46.11, 17
53.28, 29
68.47, 27

Atomic structure:
```
10
Lattice="-2.4156 3.2631 7.4046 2.4156 -3.2631 7.4046 2.4156 3.2631 -7.4046" Properties=species:S:1:pos:R:3 pbc="T T T"
Tm 0.0000 1.6316 1.5469
Tm 2.4156 1.6316 5.8578
Cd 2.4156 0.0000 0.0000
Cd 2.4156 -1.6316 5.7488
Cd 2.4156 0.0388 2.9270
Cd 0.0000 0.0388 4.4777
Cd 0.0000 0.0000 7.4046
Cd 2.4156 3.2243 2.9270
Cd 0.0000 3.2243 4.4777
Cd 0.0000 4.8947 1.6559
```

=====

(2)
For Li2Tm3Au3, a cell relaxed with GGA-PBE gives the theoretical PXRD pattern in this record (a wavelength of 1.5418 Å).
Intensities are scaled so that the largest is 100.

The 8 most intense peaks (10° ≤ 2θ ≤ 80°), low angle first:
Position (°2θ), Rel. int.
21.03, 51
32.33, 47
36.31, 100
36.85, 20
38.88, 24
47.73, 23
49.82, 20
60.27, 23

Atomic structure:
```
16
Lattice="8.4492 0.0000 0.0000 -4.2246 7.3172 0.0000 0.0000 0.0000 5.5394" Properties=species:S:1:pos:R:3 pbc="T T T"
Li 0.0000 4.8781 0.0000
Li 0.0000 4.8781 2.7697
Li 4.2246 2.4391 0.0000
Li 4.2246 2.4391 2.7697
Tm -1.0641 1.8430 1.3849
Tm -3.1605 5.4742 4.1546
Tm 2.1282 0.0000 1.3849
Tm 1.0641 1.8430 4.1546
Tm 6.3210 0.0000 4.1546
Tm 3.1605 5.4742 1.3849
Au -1.6737 2.8989 4.1546
Au -2.5509 4.4183 1.3849
Au 3.3473 0.0000 4.1546
Au 1.6737 2.8989 1.3849
Au 5.1019 0.0000 1.3849
Au 2.5509 4.4183 4.1546
```

=====

(3)
For Sr2LiCa2Ag4, a cell relaxed with GGA-PBE gives the theoretical PXRD pattern in this record (a wavelength of 1.5418 Å).
Intensities are scaled so that the largest is 100.

The 8 most intense peaks (10° ≤ 2θ ≤ 80°), low angle first:
Position (°2θ), Rel. int.
19.80, 9
31.31, 100
34.21, 45
40.23, 10
49.17, 15
53.82, 15
59.46, 28
65.33, 8

Atomic structure:
```
9
Lattice="-3.7063 3.7063 4.4832 3.7063 -3.7063 4.4832 3.7063 3.7063 -4.4832" Properties=species:S:1:pos:R:3 pbc="T T T"
Sr 0.0000 0.0000 1.7732
Sr 0.0000 0.0000 7.1933
Li 0.0000 0.0000 4.4832
Ca 3.7063 0.0000 2.2416
Ca 0.0000 3.7063 2.2416
Ag 1.9318 1.9318 0.0000
Ag 1.7745 -1.7745 4.4832
Ag -1.7745 1.7745 4.4832
Ag 1.7745 1.7745 4.4832
```

=====

(4)
For Rb2RuF7, a cell relaxed with GGA-PBE gives the theoretical PXRD pattern in this record (a wavelength of 1.5418 Å).
Intensities are scaled so that the largest is 100.

The 8 most intense peaks (10° ≤ 2θ ≤ 80°), low angle first:
Position (°2θ), Rel. int.
16.07, 26
23.38, 72
23.81, 100
29.26, 46
29.85, 41
36.31, 28
37.51, 29
39.75, 37

Atomic structure:
```
20
Lattice="7.1520 -3.2558 0.0000 7.1520 3.2558 0.0000 -7.0696 0.0000 7.6103" Properties=species:S:1:pos:R:3 pbc="T T T"
Rb -0.4982 2.1412 5.8479
Rb 4.1977 2.1412 5.5675
Rb 3.0366 -2.1412 2.0428
Rb 7.7325 -2.1412 1.7623
Ru 5.3846 1.3158 1.9026
Ru 1.8498 -1.3158 5.7077
F -5.2187 0.3306 6.8629
F -1.6839 -0.3306 3.0578
F 3.4795 1.3175 2.4023
F 4.8924 0.7274 0.1244
F 7.2897 1.3175 1.4028
F 1.8498 0.6542 5.7077
F 1.3576 -0.7274 3.9295
F 5.8767 0.7274 3.6808
F 5.3846 -0.6542 1.9026
F -0.0554 -1.3175 6.2074
F 2.3419 -0.7274 7.4859
F 3.7549 -1.3175 5.2080
F 8.9182 0.3306 4.5525
F 12.4530 -0.3306 0.7474
```

=====

(5)
For Ce2PrPd9, a cell relaxed with GGA-PBE gives the theoretical PXRD pattern in this record (a wavelength of 1.5418 Å).
Intensities are scaled so that the largest is 100.

The 8 most intense peaks (10° ≤ 2θ ≤ 80°), low angle first:
Position (°2θ), Rel. int.
21.28, 1
30.27, 1
37.30, 100
43.34, 49
48.77, 1
62.96, 31
75.52, 36
79.52, 11

Atomic structure:
```
12
Lattice="4.1758 0.0000 0.0000 0.0000 4.1758 0.0000 0.0000 0.0000 12.5251" Properties=species:S:1:pos:R:3 pbc="T T T"
Ce 0.0000 0.0000 2.0853
Ce 0.0000 0.0000 10.4398
Pr 0.0000 0.0000 6.2625
Pd 0.0000 2.0879 0.0000
Pd 0.0000 2.0879 4.0969
Pd 0.0000 2.0879 8.4282
Pd 2.0879 0.0000 0.0000
Pd 2.0879 0.0000 4.0969
Pd 2.0879 0.0000 8.4282
Pd 2.0879 2.0879 2.0575
Pd 2.0879 2.0879 6.2625
Pd 2.0879 2.0879 10.4676
```

=====

(6)
For CsRb2Ge2, a cell relaxed with GGA-PBE gives the theoretical PXRD pattern in this record (a wavelength of 1.5418 Å).
Intensities are scaled so that the largest is 100.

The 8 most intense peaks (10° ≤ 2θ ≤ 80°), low angle first:
Position (°2θ), Rel. int.
11.82, 39
23.77, 54
24.34, 54
24.97, 77
27.92, 100
29.18, 43
33.39, 48
34.53, 44

Atomic structure:
```
10
Lattice="14.8963 0.0000 0.0000 0.0000 4.2342 0.0000 -1.4672 0.0000 7.4858" Properties=species:S:1:pos:R:3 pbc="T T T"
Cs 0.0000 0.0000 0.0000
Cs 7.4481 2.1171 0.0000
Rb 1.3840 2.1171 4.3770
Rb 4.5969 0.0000 3.1088
Rb 8.8321 0.0000 4.3770
Rb 12.0451 2.1171 3.1088
Ge 3.2922 2.1171 0.5671
Ge 2.6887 0.0000 6.9188
Ge 10.7404 0.0000 0.5671
Ge 10.1368 2.1171 6.9188
```

=====

(7)
For ZrOs2Au, a cell relaxed with GGA-PBE gives the theoretical PXRD pattern in this record (a wavelength of 1.5418 Å).
Intensities are scaled so that the largest is 100.

The 8 most intense peaks (10° ≤ 2θ ≤ 80°), low angle first:
Position (°2θ), Rel. int.
10.66, 23
38.22, 100
43.63, 14
44.81, 34
45.62, 7
64.33, 18
65.23, 11
78.19, 25

Atomic structure:
```
4
Lattice="2.8605 0.0000 0.0000 0.0000 2.8605 0.0000 0.0000 0.0000 8.2976" Properties=species:S:1:pos:R:3 pbc="T T T"
Zr 0.0000 0.0000 0.0000
Os 0.0000 0.0000 4.4390
Os 1.4303 1.4303 6.0785
Au 1.4303 1.4303 2.2531
```

=====

(8)
For Cd5Ag8Sn, a cell relaxed with GGA-PBE gives the theoretical PXRD pattern in this record (a wavelength of 1.5418 Å).
Intensities are scaled so that the largest is 100.

The 8 most intense peaks (10° ≤ 2θ ≤ 80°), low angle first:
Position (°2θ), Rel. int.
30.62, 40
35.43, 73
35.99, 52
38.35, 100
40.91, 35
41.59, 25
42.39, 56
66.14, 21

Atomic structure:
```
14
Lattice="-3.9460 3.9460 4.7148 3.9460 -3.9460 4.7148 3.9460 3.9460 -4.7148" Properties=species:S:1:pos:R:3 pbc="T T T"
Cd 0.0000 0.0000 0.0000
Cd 2.8576 2.1689 -0.5680
Cd 1.7771 -1.0884 5.2827
Cd 1.0884 1.7771 4.1468
Cd 2.1689 5.0344 0.5680
Ag 1.2592 -0.6702 2.4448
Ag 2.6868 4.6161 -2.2699
Ag 0.6133 2.5796 1.2648
Ag 3.2758 2.6868 2.2699
Ag -1.3664 3.3327 3.4499
Ag -0.6133 5.3124 1.2648
Ag 0.6702 1.2592 6.9847
Ag 1.3664 4.5593 3.4499
Sn 3.9460 0.0000 2.3574
```

=====

(9)
For Ac2AgPPd6, a cell relaxed with GGA-PBE gives the theoretical PXRD pattern in this record (a wavelength of 1.5418 Å).
Intensities are scaled so that the largest is 100.

The 8 most intense peaks (10° ≤ 2θ ≤ 80°), low angle first:
Position (°2θ), Rel. int.
26.35, 48
27.03, 45
28.55, 45
37.62, 100
38.62, 91
39.10, 45
39.86, 68
43.69, 44

Atomic structure:
```
10
Lattice="5.6329 0.0000 0.0000 2.8133 5.7550 0.0000 2.8083 0.5652 6.5968" Properties=species:S:1:pos:R:3 pbc="T T T"
Ac 2.8159 1.5711 1.9593
Ac 8.4386 4.7491 4.6375
Ag 5.6273 3.1601 3.2984
P 0.0000 0.0000 0.0000
Pd 5.6209 4.0282 5.8754
Pd 4.2408 1.7193 5.1619
Pd 4.2509 4.6013 1.4297
Pd 7.0037 1.7188 5.1671
Pd 7.0137 4.6009 1.4349
Pd 5.6336 2.2920 0.7214
```

=====

(10)
For ThPd6, a cell relaxed with GGA-PBE gives the theoretical PXRD pattern in this record (a wavelength of 1.5418 Å).
Intensities are scaled so that the largest is 100.

The 8 most intense peaks (10° ≤ 2θ ≤ 80°), low angle first:
Position (°2θ), Rel. int.
25.66, 42
31.57, 100
49.10, 59
52.74, 23
59.55, 16
62.77, 14
74.92, 17
77.82, 14

Atomic structure:
```
14
Lattice="6.9428 0.0000 0.0000 0.0000 6.9428 0.0000 0.0000 0.0000 6.9428" Properties=species:S:1:pos:R:3 pbc="T T T"
Th 0.0000 0.0000 0.0000
Th 3.4714 3.4714 3.4714
Pd 0.0000 1.7357 3.4714
Pd 0.0000 3.4714 1.7357
Pd 0.0000 3.4714 5.2071
Pd 0.0000 5.2071 3.4714
Pd 1.7357 0.0000 3.4714
Pd 1.7357 3.4714 0.0000
Pd 3.4714 0.0000 1.7357
Pd 3.4714 0.0000 5.2071
Pd 3.4714 1.7357 0.0000
Pd 3.4714 5.2071 0.0000
Pd 5.2071 0.0000 3.4714
Pd 5.2071 3.4714 0.0000
```

=====

(11)
For CeTa7O19, a cell relaxed with GGA-PBE gives the theoretical PXRD pattern in this record (a wavelength of 1.5418 Å).
Intensities are scaled so that the largest is 100.

The 8 most intense peaks (10° ≤ 2θ ≤ 80°), low angle first:
Position (°2θ), Rel. int.
16.27, 29
26.51, 63
28.73, 100
29.76, 40
33.58, 48
36.22, 50
50.24, 39
57.70, 39

Atomic structure:
```
54
Lattice="6.2903 0.0000 0.0000 -3.1452 5.4476 0.0000 0.0000 0.0000 20.1702" Properties=species:S:1:pos:R:3 pbc="T T T"
Ce 0.0000 0.0000 0.0000
Ce 0.0000 0.0000 10.0851
Ta -0.8889 1.8230 3.1453
Ta -0.8889 1.8230 6.9398
Ta -2.0108 3.7662 13.2305
Ta -2.0108 3.7662 17.0249
Ta 0.8889 1.8230 13.2305
Ta 0.8889 1.8230 17.0249
Ta -1.1219 5.3059 3.1453
Ta -1.1219 5.3059 6.9398
Ta 0.0000 3.6317 0.0000
Ta 0.0000 3.6317 10.0851
Ta 2.0108 3.7662 3.1453
Ta 2.0108 3.7662 6.9398
Ta 1.1219 5.3059 13.2305
Ta 1.1219 5.3059 17.0249
O 0.0000 0.0000 2.6677
O 0.0000 0.0000 7.4174
O 0.0000 0.0000 12.7528
O 0.0000 0.0000 17.5026
O -0.6623 1.5946 5.0426
O -2.0954 4.0767 15.1277
O -0.6020 2.0948 1.1413
O -0.6020 2.0948 8.9438
O -1.6320 3.8788 11.2264
O -1.6320 3.8788 19.0290
O 0.6623 1.5946 15.1277
O -1.4331 5.2239 5.0426
O 0.6020 2.0948 11.2264
O 0.6020 2.0948 19.0290
O -1.0300 4.9215 1.1413
O -1.0300 4.9215 8.9438
O 0.0000 3.6317 3.3642
O 0.0000 3.6317 6.7209
O 0.0000 3.6317 13.4493
O 0.0000 3.6317 16.8060
O 2.3730 0.4802 13.1763
O 2.3730 0.4802 17.0790
O 1.6024 1.8150 3.0912
O 1.6024 1.8150 6.9939
O 1.6320 3.8788 1.1413
O 1.6320 3.8788 8.9438
O 1.0300 4.9215 11.2264
O 1.0300 4.9215 19.0290
O 3.9173 0.4802 3.0912
O 3.9173 0.4802 6.9939
O 2.3745 3.1524 13.1763
O 2.3745 3.1524 17.0790
O 2.0954 4.0767 5.0426
O 1.4331 5.2239 15.1277
O 4.6880 1.8150 13.1763
O 4.6880 1.8150 17.0790
O 3.9158 3.1524 3.0912
O 3.9158 3.1524 6.9939
```

=====

Q: Which formula does entry 3 have?
A: Sr2LiCa2Ag4

=====

Q: Number 4 is which compound?
A: Rb2RuF7